# Li2AlNiO4
Computed powder diffraction line list, CuKα. Input: the PBE+U geometry in the Materials Project.

Principal peaks in the range 5 to 70 degrees two-theta, sorted by position:
| d/Å | I_rel | h k l |
| --- | --- | --- |
| 4.073 | 100 | 1 1 1 |
| 3.731 | 17 | 2 0 0 |
| 3.235 | 18 | 0 2 1 |
| 2.732 | 44 | 1 1 2 |
| 2.646 | 46 | 2 2 0 |
| 2.444 | 12 | 2 2 1 |
| 2.214 | 14 | 3 1 1 |
| 1.973 | 8 | 1 1 3 |
| 1.904 | 15 | 1 3 2 |
| 1.595 | 9 | 0 0 4 |
| 1.544 | 31 | 3 3 2 |
| 1.366 | 8 | 2 2 4 |

Structure:
Cell: 7.4623 7.5081 6.3782 Å, 90.00 90.00 90.00°
Space group C222_1 (No. 20)
Symmetry-distinct sites (fractional):
Li 0.0000 0.1827 0.2500
Li 0.1864 0.5000 0.5000
Al 0.1765 0.5000 0.0000
Ni 0.0000 0.1765 0.7500
O 0.0223 0.3177 0.9857
O 0.1892 0.0130 0.7286



# VCoO4
Computed powder diffraction line list, CuKα. Input: the PBE+U geometry in the Materials Project.

Principal peaks in the range 5 to 70 degrees two-theta, sorted by position:
| d/Å | I_rel | h k l |
| --- | --- | --- |
| 4.675 | 51 | 0 1 1 |
| 4.599 | 32 | 1 0 1 |
| 3.908 | 39 | 0 0 2 |
| 2.844 | 56 | 2 0 0 |
| 2.820 | 42 | 1 1 2 |
| 2.463 | 100 | 1 2 1 |
| 2.430 | 17 | 2 1 1 |
| 2.368 | 49 | 1 0 3 |
| 2.036 | 16 | 2 2 0 |
| 1.623 | 18 | 0 2 4 |
| 1.558 | 33 | 3 2 1 |
| 1.410 | 45 | 2 2 4 |

Structure:
Cell: 5.6885 5.8339 7.8151 Å, 90.00 90.00 90.00°
Space group Imma (No. 74)
Symmetry-distinct sites (fractional):
V 0.0000 0.2500 0.1242
Co 0.0000 0.0000 0.5000
O 0.0000 0.0208 0.2562
O 0.2249 0.2500 0.5009



# Na3CrF6
Computed powder diffraction line list, CuKα. Input: the PBE+U geometry in the Materials Project.

Principal peaks in the range 5 to 70 degrees two-theta, sorted by position:
| d/Å | I_rel | h k l |
| --- | --- | --- |
| 4.735 | 43 | 1 1 1 |
| 4.101 | 65 | 2 0 0 |
| 2.900 | 80 | 2 2 0 |
| 2.473 | 8 | 3 1 1 |
| 2.368 | 27 | 2 2 2 |
| 2.051 | 100 | 4 0 0 |
| 1.834 | 19 | 4 2 0 |
| 1.674 | 28 | 4 2 2 |
| 1.578 | 8 | 5 1 1 |
| 1.450 | 51 | 4 4 0 |
| 1.386 | 5 | 5 3 1 |
| 1.367 | 7 | 6 0 0 |

Structure:
Cell: 8.2020 8.2020 8.2020 Å, 90.00 90.00 90.00°
Space group Fm-3m (No. 225)
Symmetry-distinct sites (fractional):
Na 0.0000 0.0000 0.0000
Na 0.2500 0.2500 0.2500
Cr 0.0000 0.0000 0.5000
F 0.0000 0.0000 0.2662



# Sr2CoO4
Computed powder diffraction line list, CuKα. Input: the PBE+U geometry in the Materials Project.

Principal peaks in the range 5 to 70 degrees two-theta, sorted by position:
| d/Å | I_rel | h k l |
| --- | --- | --- |
| 6.233 | 21 | 0 2 0 |
| 2.850 | 100 | 1 3 1 |
| 2.829 | 98 | 3 3 -1 |
| 2.753 | 74 | 4 0 0 |
| 2.747 | 74 | 2 0 -2 |
| 2.078 | 30 | 0 6 0 |
| 2.062 | 49 | 4 4 0 |
| 1.958 | 41 | 2 0 2 |
| 1.931 | 40 | 6 0 -2 |
| 1.658 | 36 | 4 6 0 |
| 1.611 | 18 | 5 3 1 |
| 1.425 | 19 | 2 6 2 |

Structure:
Cell: 12.2406 12.4670 5.4938 Å, 90.00 115.88 90.00°
Space group Cm (No. 8)
Symmetry-distinct sites (fractional):
Sr 0.0000 0.1412 0.0000
Sr 0.2474 0.3569 0.2451
Sr 0.2522 0.1426 0.7567
Sr 0.4992 0.1437 0.4996
Co 0.9999 0.5000 0.0016
Co 0.2485 0.0000 0.2493
Co 0.2514 0.5000 0.7545
Co 0.4991 0.5000 0.5006
O 0.9997 0.3397 0.9995
O 0.1144 0.5000 0.3409
O 0.1188 0.0000 0.8618
O 0.1309 0.5000 0.8539
O 0.1368 0.0000 0.3773
O 0.2495 0.3411 0.7478
O 0.2510 0.1592 0.2533
O 0.3637 0.5000 0.6251
O 0.3682 0.0000 0.1427
O 0.3788 0.5000 0.1335
O 0.3856 0.0000 0.6594
O 0.4981 0.3485 0.4965